# Cr3NO8
Calculated X-ray powder pattern, copper Kα. Input: a DFT-relaxed cell (GGA+U, Alexandria).
Peak positions follow from Bragg's law for the DFT cell and can differ from measured ones.

Atomic structure:
```
Cr3NO8
1.0
4.460 -2.728 0.000
4.460 2.728 0.000
-0.748 0.000 7.826
Cr N O
3 1 8
Direct
0.000 0.000 0.000
0.372 0.372 0.199
0.628 0.628 0.801
0.000 0.000 0.500
0.220 0.220 0.059
0.224 0.733 0.169
0.267 0.776 0.831
0.326 0.326 0.390
0.674 0.674 0.610
0.733 0.224 0.169
0.776 0.267 0.831
0.780 0.780 0.941
```

Main lines, most intense first (10° ≤ 2θ ≤ 90°):
2θ = 11.3°, I = 100
2θ = 21.7°, I = 69
2θ = 24.0°, I = 48
2θ = 29.1°, I = 46
2θ = 34.5°, I = 31
2θ = 32.8°, I = 18
2θ = 22.7°, I = 16
2θ = 60.3°, I = 16
2θ = 56.8°, I = 14
2θ = 20.0°, I = 14